# 1
The following is a computed X-ray powder pattern of K4NaCl5. It was derived from a crystal structure in the Materials Project, relaxed with GGA-PBE, using Cu Kα (λ = 1.5418 Å).

Peak list (10 most intense, 10 to 80 degrees two-theta, by intensity)
two_theta  Rel. int.  h k l
28.40  100  1 1 0
40.80  64  1 1 10
28.68  46  0 0 10
40.60  34  2 0 0
50.46  32  2 0 10
74.01  18  3 1 10
66.53  13  3 1 0
66.68  12  2 2 10
67.11  11  1 1 20
58.76  10  2 2 0

Structure:
```
data_K4NaCl5
_symmetry_space_group_name_H-M 'I 4/m m m'
_symmetry_Int_Tables_number 139
_symmetry_space_group_name_Hall '-I 4 2'
_cell_length_a 4.4442
_cell_length_b 4.4442
_cell_length_c 31.1285
_cell_angle_alpha 90.00
_cell_angle_beta 90.00
_cell_angle_gamma 90.00
loop_
_atom_site_label
_atom_site_type_symbol
_atom_site_fract_x
_atom_site_fract_y
_atom_site_fract_z
K1 K 0.0000 0.0000 0.0973
K2 K 0.0000 0.0000 0.3018
Na1 Na 0.0000 0.0000 0.5000
Cl1 Cl 0.0000 0.0000 0.0000
Cl2 Cl 0.0000 0.0000 0.1997
Cl3 Cl 0.0000 0.0000 0.4063
```

***

# 2
The following is a computed X-ray powder pattern of K4NaCl5. It was derived from a crystal structure in the Materials Project, relaxed with GGA-PBE, using Cu Kα (λ = 1.5418 Å).

Peak list (10 most intense, 10 to 80 degrees two-theta, by intensity)
two_theta  Rel. int.  h k l
28.56  100  2 0 2
40.82  55  5 1 0
66.90  12  1 1 6
40.93  11  0 2 0
50.66  11  2 2 2
50.52  11  8 0 -2
59.13  9  4 0 4
66.99  8  7 1 2
74.35  7  4 2 4
74.47  6  5 3 0

Structure:
```
data_K4NaCl5
_symmetry_space_group_name_H-M 'C 1 2/m 1'
_symmetry_Int_Tables_number 12
_cell_length_a 14.6701
_cell_length_b 4.4101
_cell_length_c 10.8474
_cell_angle_alpha 90.00
_cell_angle_beta 119.58
_cell_angle_gamma 90.00
loop_
_symmetry_equiv_pos_as_xyz
'x,y,z'
'-x,-y,-z'
'-x,y,-z'
'x,-y,z'
'x+1/2,y+1/2,z'
'-x+1/2,-y+1/2,-z'
'-x+1/2,y+1/2,-z'
'x+1/2,-y+1/2,z'
loop_
_atom_site_label
_atom_site_type_symbol
_atom_site_fract_x
_atom_site_fract_y
_atom_site_fract_z
K1 K 0.1009 0.0000 0.3982
K2 K 0.2001 0.5000 0.8045
Na1 Na 0.0000 0.5000 0.0000
Cl1 Cl 0.0000 0.5000 0.5000
Cl2 Cl 0.0914 0.0000 0.9087
Cl3 Cl 0.1926 0.5000 0.2870
```

***

# 3
The following is a computed X-ray powder pattern of K2NaPrCl6. It was derived from a crystal structure in the Materials Project, relaxed with GGA-PBE, using Cu Kα (λ = 1.5418 Å).

Peak list (10 most intense, 10 to 80 degrees two-theta, by intensity)
two_theta  Rel. int.  h k l
32.67  100  4 0 0
22.94  70  2 2 0
46.87  66  4 4 0
16.17  65  2 0 0
13.99  64  1 1 1
26.97  42  3 1 1
36.65  33  4 2 0
40.29  32  4 2 2
77.93  27  8 4 0
58.30  22  4 4 4

Structure:
```
data_K2NaPrCl6
_symmetry_space_group_name_H-M 'F m -3 m'
_symmetry_Int_Tables_number 225
_symmetry_space_group_name_Hall '-F 4 2 3'
_cell_length_a 10.9651
_cell_length_b 10.9651
_cell_length_c 10.9651
_cell_angle_alpha 90.00
_cell_angle_beta 90.00
_cell_angle_gamma 90.00
loop_
_atom_site_label
_atom_site_type_symbol
_atom_site_fract_x
_atom_site_fract_y
_atom_site_fract_z
K1 K 0.2500 0.2500 0.2500
Na1 Na 0.0000 0.0000 0.0000
Pr1 Pr 0.0000 0.0000 0.5000
Cl1 Cl 0.0000 0.0000 0.2501
```

***

# 4
The following is a computed X-ray powder pattern of K2NaSmCl6. It was derived from a crystal structure in the Materials Project, relaxed with GGA-PBE, using Cu Kα (λ = 1.5418 Å).

Peak list (10 most intense, 10 to 80 degrees two-theta, by intensity)
two_theta  Rel. int.  h k l
33.01  100  4 0 0
14.13  75  1 1 1
23.18  74  2 2 0
16.33  70  2 0 0
47.38  66  4 4 0
27.25  45  3 1 1
37.04  35  4 2 0
40.73  34  4 2 2
78.89  27  8 4 0
58.96  22  4 4 4

Structure:
```
data_K2NaSmCl6
_symmetry_space_group_name_H-M 'F m -3 m'
_symmetry_Int_Tables_number 225
_symmetry_space_group_name_Hall '-F 4 2 3'
_cell_length_a 10.8531
_cell_length_b 10.8531
_cell_length_c 10.8531
_cell_angle_alpha 90.00
_cell_angle_beta 90.00
_cell_angle_gamma 90.00
loop_
_atom_site_label
_atom_site_type_symbol
_atom_site_fract_x
_atom_site_fract_y
_atom_site_fract_z
K1 K 0.2500 0.2500 0.2500
Na1 Na 0.0000 0.0000 0.0000
Sm1 Sm 0.0000 0.0000 0.5000
Cl1 Cl 0.0000 0.0000 0.2525
```

***

# 5
The following is a computed X-ray powder pattern of K2NaTaCl6. It was derived from a crystal structure in the Materials Project, relaxed with GGA-PBE, using Cu Kα (λ = 1.5418 Å).

Peak list (10 most intense, 10 to 80 degrees two-theta, by intensity)
two_theta  Rel. int.  h k l
14.76  100  1 1 1
34.50  81  4 0 0
24.21  75  2 2 0
17.05  72  2 0 0
49.59  53  4 4 0
28.47  48  3 1 1
38.73  35  4 2 0
42.59  33  4 2 2
45.32  25  5 1 1
52.03  24  5 3 1

Structure:
```
data_K2NaTaCl6
_symmetry_space_group_name_H-M 'F m -3 m'
_symmetry_Int_Tables_number 225
_symmetry_space_group_name_Hall '-F 4 2 3'
_cell_length_a 10.3987
_cell_length_b 10.3987
_cell_length_c 10.3987
_cell_angle_alpha 90.00
_cell_angle_beta 90.00
_cell_angle_gamma 90.00
loop_
_atom_site_label
_atom_site_type_symbol
_atom_site_fract_x
_atom_site_fract_y
_atom_site_fract_z
K1 K 0.2500 0.2500 0.2500
Na1 Na 0.0000 0.0000 0.0000
Ta1 Ta 0.0000 0.0000 0.5000
Cl1 Cl 0.0000 0.0000 0.2622
```

***

# 6
The following is a computed X-ray powder pattern of K2NaTmCl6. It was derived from a crystal structure in the Materials Project, relaxed with GGA-PBE, using Cu Kα (λ = 1.5418 Å).

Peak list (10 most intense, 10 to 80 degrees two-theta, by intensity)
two_theta  Rel. int.  h k l
33.65  100  4 0 0
14.40  100  1 1 1
23.62  84  2 2 0
16.64  81  2 0 0
48.32  66  4 4 0
27.77  54  3 1 1
37.76  40  4 2 0
41.52  38  4 2 2
44.17  25  5 1 1
50.69  25  5 3 1

Structure:
```
data_K2NaTmCl6
_symmetry_space_group_name_H-M 'F m -3 m'
_symmetry_Int_Tables_number 225
_symmetry_space_group_name_Hall '-F 4 2 3'
_cell_length_a 10.6546
_cell_length_b 10.6546
_cell_length_c 10.6546
_cell_angle_alpha 90.00
_cell_angle_beta 90.00
_cell_angle_gamma 90.00
loop_
_atom_site_label
_atom_site_type_symbol
_atom_site_fract_x
_atom_site_fract_y
_atom_site_fract_z
K1 K 0.2500 0.2500 0.2500
Na1 Na 0.0000 0.0000 0.0000
Tm1 Tm 0.0000 0.0000 0.5000
Cl1 Cl 0.0000 0.0000 0.2568
```

***

# 7
The following is a computed X-ray powder pattern of K2NaYCl6. It was derived from a crystal structure in the Materials Project, relaxed with GGA-PBE, using Cu Kα (λ = 1.5418 Å).

Peak list (10 most intense, 10 to 80 degrees two-theta, by intensity)
two_theta  Rel. int.  h k l
33.40  100  4 0 0
47.95  64  4 4 0
23.44  46  2 2 0
28.82  41  2 2 2
16.52  40  2 0 0
14.29  34  1 1 1
79.95  25  8 4 0
59.69  21  4 4 4
41.21  20  4 2 2
37.48  19  4 2 0

Structure:
```
data_K2NaYCl6
_symmetry_space_group_name_H-M 'F m -3 m'
_symmetry_Int_Tables_number 225
_symmetry_space_group_name_Hall '-F 4 2 3'
_cell_length_a 10.7323
_cell_length_b 10.7323
_cell_length_c 10.7323
_cell_angle_alpha 90.00
_cell_angle_beta 90.00
_cell_angle_gamma 90.00
loop_
_atom_site_label
_atom_site_type_symbol
_atom_site_fract_x
_atom_site_fract_y
_atom_site_fract_z
K1 K 0.2500 0.2500 0.2500
Na1 Na 0.0000 0.0000 0.0000
Y1 Y 0.0000 0.0000 0.5000
Cl1 Cl 0.0000 0.0000 0.2549
```

***

# 8
The following is a computed X-ray powder pattern of KNbCl6. It was derived from a crystal structure in the Materials Project, relaxed with GGA-PBE, using Cu Kα (λ = 1.5418 Å).

Peak list (10 most intense, 10 to 80 degrees two-theta, by intensity)
two_theta  Rel. int.  h k l
14.78  100  0 1 1
17.08  59  1 0 -1
34.50  38  2 0 2
49.71  28  4 0 0
29.82  24  2 2 0
28.49  21  2 1 -1
34.67  20  0 4 0
45.33  15  3 1 -2
28.59  11  1 3 0
38.71  10  1 0 -3

Structure:
```
data_KNbCl6
_symmetry_space_group_name_H-M 'P 1 21 1'
_symmetry_Int_Tables_number 4
_cell_length_a 7.3393
_cell_length_b 10.3492
_cell_length_c 7.3650
_cell_angle_alpha 90.00
_cell_angle_beta 90.03
_cell_angle_gamma 90.00
loop_
_symmetry_equiv_pos_as_xyz
'x,y,z'
'-x,y+1/2,-z'
loop_
_atom_site_label
_atom_site_type_symbol
_atom_site_fract_x
_atom_site_fract_y
_atom_site_fract_z
K1 K 0.2444 0.0000 0.3154
Nb1 Nb 0.2526 0.2762 0.7627
Cl1 Cl 0.0193 0.2764 0.9839
Cl2 Cl 0.0242 0.2734 0.5223
Cl3 Cl 0.2475 0.5066 0.7490
Cl4 Cl 0.2519 0.0452 0.7527
Cl5 Cl 0.4788 0.2786 0.5233
Cl6 Cl 0.4821 0.2762 0.9869
```

***

# 9
The following is a computed X-ray powder pattern of K2NbCl6. It was derived from a crystal structure in the Materials Project, relaxed with GGA-PBE, using Cu Kα (λ = 1.5418 Å).

Peak list (10 most intense, 10 to 80 degrees two-theta, by intensity)
two_theta  Rel. int.  h k l
15.07  100  1 0 1
35.97  52  2 2 0
30.41  45  2 0 2
33.79  38  0 0 4
50.17  35  2 2 4
29.51  26  2 1 1
24.48  22  1 1 2
28.23  20  1 0 3
25.22  18  2 0 0
43.99  17  3 1 2

Structure:
```
data_K2NbCl6
_symmetry_space_group_name_H-M 'P 4/m n c'
_symmetry_Int_Tables_number 128
_symmetry_space_group_name_Hall '-P 4 2n'
_cell_length_a 7.0626
_cell_length_b 7.0626
_cell_length_c 10.6116
_cell_angle_alpha 90.00
_cell_angle_beta 90.00
_cell_angle_gamma 90.00
loop_
_atom_site_label
_atom_site_type_symbol
_atom_site_fract_x
_atom_site_fract_y
_atom_site_fract_z
K1 K 0.0000 0.5000 0.2500
Nb1 Nb 0.0000 0.0000 0.0000
Cl1 Cl 0.0000 0.0000 0.2320
Cl2 Cl 0.1956 0.2827 0.0000
```